(1)
Diffraction record for Li3Co4O8. The powder X-ray diffraction pattern is theoretical, not measured: it uses a cell relaxed with GGA+U and Cu Kα, 1.54184 Å.

Crystal structure
```
data_Li3Co4O8
_chemical_formula_sum 'Li6 Co8 O16'
_cell_length_a 5.755
_cell_length_b 5.770
_cell_length_c 10.230
_cell_angle_alpha 90.32
_cell_angle_beta 106.23
_cell_angle_gamma 119.57
_symmetry_space_group_name_H-M 'P -1'
_symmetry_Int_Tables_number 2
loop_
_symmetry_equiv_pos_as_xyz
'x,y,z'
'-x,-y,-z'
loop_
_atom_site_label
_atom_site_fract_x
_atom_site_fract_y
_atom_site_fract_z
Li1 0.001 0.252 0.253
Li2 0.005 0.256 0.750
Li3 0.497 0.745 0.247
Co1 0.000 0.000 0.000
Co2 0.000 0.000 0.500
Co3 0.000 0.500 0.000
Co4 0.000 0.500 0.500
Co5 0.500 0.000 0.000
Co6 0.500 0.000 0.500
Co7 0.500 0.500 0.000
Co8 0.500 0.500 0.500
O1 0.219 0.858 0.605
O2 0.223 0.361 0.605
O3 0.234 0.862 0.107
O4 0.236 0.617 0.386
O5 0.246 0.385 0.106
O6 0.256 0.615 0.895
O7 0.260 0.129 0.396
O8 0.268 0.148 0.887
```

Main lines, sorted by position (15° ≤ 2θ ≤ 90°):
| index | 2theta | I (rel.) |
| --- | --- | --- |
| 0 0 2 | 18.3 | 100 |
| 0 2 0 | 36.3 | 12 |
| 2 0 -2 | 36.4 | 12 |
| 2 -2 0 | 36.6 | 12 |
| 2 0 0 | 38.0 | 8 |
| 0 2 2 | 43.9 | 41 |
| 2 -2 2 | 44.0 | 20 |
| 0 2 -4 | 47.9 | 8 |
| 2 -2 4 | 57.8 | 14 |
| 0 2 -6 | 63.2 | 11 |


(2)
Diffraction record for LiCo2O4. The powder X-ray diffraction pattern is theoretical, not measured: it uses a cell relaxed with GGA+U and Cu Kα, 1.54184 Å.

Crystal structure
```
data_LiCo2O4
_chemical_formula_sum 'Li8 Co16 O32'
_cell_length_a 8.184
_cell_length_b 8.255
_cell_length_c 8.263
_cell_angle_alpha 89.61
_cell_angle_beta 89.76
_cell_angle_gamma 89.60
_symmetry_space_group_name_H-M 'P 1'
_symmetry_Int_Tables_number 1
loop_
_symmetry_equiv_pos_as_xyz
'x,y,z'
loop_
_atom_site_label
_atom_site_fract_x
_atom_site_fract_y
_atom_site_fract_z
Li1 0.000 0.000 0.000
Li2 0.001 0.502 0.499
Li3 0.251 0.753 0.258
Li4 0.255 0.252 0.756
Li5 0.498 0.004 0.505
Li6 0.503 0.499 0.001
Li7 0.752 0.256 0.256
Li8 0.754 0.755 0.757
Co1 0.125 0.373 0.131
Co2 0.129 0.125 0.377
Co3 0.130 0.626 0.879
Co4 0.135 0.879 0.623
Co5 0.375 0.128 0.128
Co6 0.376 0.880 0.878
Co7 0.377 0.626 0.628
Co8 0.381 0.377 0.381
Co9 0.622 0.132 0.879
Co10 0.622 0.378 0.635
Co11 0.628 0.879 0.130
Co12 0.629 0.634 0.381
Co13 0.877 0.129 0.627
Co14 0.879 0.877 0.378
Co15 0.880 0.376 0.878
Co16 0.881 0.623 0.132
O1 0.112 0.606 0.125
O2 0.121 0.382 0.904
O3 0.124 0.112 0.610
O4 0.129 0.899 0.396
O5 0.134 0.354 0.360
O6 0.139 0.873 0.852
O7 0.140 0.140 0.143
O8 0.147 0.645 0.632
O9 0.356 0.357 0.134
O10 0.358 0.133 0.356
O11 0.362 0.858 0.633
O12 0.368 0.636 0.859
O13 0.382 0.615 0.401
O14 0.385 0.901 0.121
O15 0.393 0.129 0.900
O16 0.393 0.394 0.624
O17 0.606 0.610 0.629
O18 0.609 0.123 0.111
O19 0.614 0.905 0.883
O20 0.617 0.388 0.404
O21 0.629 0.360 0.861
O22 0.630 0.147 0.646
O23 0.638 0.866 0.374
O24 0.650 0.635 0.135
O25 0.852 0.138 0.868
O26 0.852 0.373 0.637
O27 0.871 0.856 0.140
O28 0.873 0.636 0.356
O29 0.889 0.614 0.900
O30 0.898 0.391 0.126
O31 0.901 0.122 0.389
O32 0.905 0.883 0.616
```

Main lines, sorted by position (15° ≤ 2θ ≤ 90°):
| index | 2theta | I (rel.) |
| --- | --- | --- |
| 1 1 1 | 18.6 | 40 |
| 1 1 -1 | 18.7 | 100 |
| 1 3 1 | 36.0 | 11 |
| 1 -1 3 | 36.1 | 28 |
| 3 1 1 | 36.2 | 11 |
| 3 1 -1 | 36.4 | 16 |
| 2 2 -2 | 37.9 | 14 |
| 0 4 0 | 43.8 | 50 |
| 4 0 0 | 44.3 | 24 |
| 4 0 4 | 63.9 | 14 |


(3)
Diffraction record for LiCo2O4. The powder X-ray diffraction pattern is theoretical, not measured: it uses a cell relaxed with GGA+U and Cu Kα, 1.54184 Å.

Crystal structure
```
data_LiCo2O4
_chemical_formula_sum 'Li4 Co8 O16'
_cell_length_a 5.652
_cell_length_b 4.849
_cell_length_c 10.135
_cell_angle_alpha 90.00
_cell_angle_beta 90.00
_cell_angle_gamma 90.00
_symmetry_space_group_name_H-M 'P b c n'
_symmetry_Int_Tables_number 60
loop_
_symmetry_equiv_pos_as_xyz
'x,y,z'
'-x,-y,-z'
'-x+1/2,-y+1/2,z+1/2'
'x+1/2,y+1/2,-z+1/2'
'x+1/2,-y+1/2,-z'
'-x+1/2,y+1/2,z'
'-x,y,-z+1/2'
'x,-y,z+1/2'
loop_
_atom_site_label
_atom_site_fract_x
_atom_site_fract_y
_atom_site_fract_z
Li1 0.000 0.143 0.250
Co1 0.126 0.254 0.505
O1 0.120 0.410 0.101
O2 0.127 0.075 0.906
```

Main lines, sorted by position (15° ≤ 2θ ≤ 90°):
| index | 2theta | I (rel.) |
| --- | --- | --- |
| 0 0 2 | 17.5 | 100 |
| 0 2 0 | 37.1 | 6 |
| 2 1 1 | 37.9 | 25 |
| 2 1 2 | 41.0 | 6 |
| 0 2 2 | 41.3 | 13 |
| 2 1 3 | 45.9 | 26 |
| 0 2 4 | 52.2 | 11 |
| 2 1 5 | 59.3 | 15 |
| 2 3 1 | 67.4 | 12 |
| 2 1 7 | 76.5 | 5 |